Record 1
This entry pairs a crystal structure of LaHN2F with its calculated X-ray diffraction stick pattern. Radiation: λ = 1.5418 Å (Cu Kα). Structure: a GGA-PBE-relaxed structure.

The 10 most intense peaks (2θ from 10° to 90°), low angle first:
hkl, two_theta, intensity
0 0 1, 20.50, 82
1 0 0, 25.94, 77
1 0 1, 33.29, 86
1 1 0, 37.01, 40
0 0 2, 41.70, 28
1 1 1, 42.68, 100
1 0 2, 49.77, 28
2 0 0, 53.34, 25
1 1 2, 56.96, 23
2 1 1, 64.35, 27

Cell and atoms:
Unit cell a=3.435 b=3.435 c=4.332 alpha=90.00 beta=90.00 gamma=90.00
Space group P4/mmm (No. 123)
Inequivalent atoms, fractional coordinates:
La: 0.000 0.000 0.000 x1
H: 0.500 0.500 0.500 x1
N: 0.000 0.500 0.500 x2
F: 0.500 0.500 0.000 x1

---

Record 2
This entry pairs a crystal structure of Li2H3F6 with its calculated X-ray diffraction stick pattern. Radiation: λ = 1.5418 Å (Cu Kα). Structure: a GGA-PBE-relaxed structure.

The 10 most intense peaks (2θ from 10° to 90°), low angle first:
hkl, two_theta, intensity
2 0 0, 20.50, 24
3 1 -1, 34.00, 25
3 1 0, 35.41, 100
0 2 1, 35.52, 50
0 0 4, 39.10, 37
3 1 2, 45.33, 31
0 2 3, 45.42, 16
3 1 3, 52.77, 20
3 3 -1, 61.00, 17
3 1 4, 61.38, 13

Cell and atoms:
Unit cell a=9.144 b=5.256 c=9.708 alpha=90.00 beta=108.35 gamma=90.00
Space group C2/c (No. 15)
Inequivalent atoms, fractional coordinates:
Li: 0.084 0.250 0.002 x8
H: 0.000 0.066 0.250 x4
H: 0.158 0.408 0.751 x8
F: 0.021 0.063 0.372 x8
F: 0.105 0.435 0.628 x8
F: 0.207 0.377 0.873 x8

---

Record 3
This entry pairs a crystal structure of Li8HF6 with its calculated X-ray diffraction stick pattern. Radiation: λ = 1.5418 Å (Cu Kα). Structure: a GGA-PBE-relaxed structure.

The 10 most intense peaks (2θ from 10° to 90°), low angle first:
hkl, two_theta, intensity
1 1 0, 22.08, 26
2 0 0, 25.55, 100
1 0 1, 29.56, 97
2 1 0, 34.02, 77
2 0 1, 37.20, 64
2 2 0, 45.04, 23
0 3 1, 47.60, 46
0 0 2, 54.75, 20
2 3 0, 57.62, 14
5 -2 1, 64.54, 48

Cell and atoms:
Unit cell a=8.0514 b=8.0514 c=3.3537 alpha=90.00 beta=90.00 gamma=120.00
Space group P-3 (No. 147)
Inequivalent atoms, fractional coordinates:
Li: 0.0519 0.7544 0.2285 x6
Li: 0.3333 0.6667 0.7227 x2
H: 0.0000 0.0000 0.0000 x1
F: 0.1788 0.7829 0.7273 x6

---

Record 4
This entry pairs a crystal structure of LiH2F with its calculated X-ray diffraction stick pattern. Radiation: λ = 1.5418 Å (Cu Kα). Structure: a GGA-PBE-relaxed structure.

The 10 most intense peaks (2θ from 10° to 90°), low angle first:
hkl, two_theta, intensity
0 0 4, 14.53, 100
0 0 8, 29.30, 30
1 0 1, 35.41, 12
1 0 3, 36.96, 6
1 0 5, 39.91, 5
1 0 7, 44.02, 5
0 0 12, 44.59, 5
1 1 2, 51.23, 15
1 1 6, 55.79, 11
1 1 10, 64.26, 7

Cell and atoms:
Unit cell a=2.549 b=2.549 c=24.383 alpha=90.00 beta=90.00 gamma=90.00
Space group I4_1/amd (No. 141, origin choice 2)
Inequivalent atoms, fractional coordinates:
Li: 0.000 0.250 0.375 x4
H: 0.000 0.000 0.000 x8
F: 0.000 0.250 0.875 x4

---

Record 5
This entry pairs a crystal structure of Li4H2F with its calculated X-ray diffraction stick pattern. Radiation: λ = 1.5418 Å (Cu Kα). Structure: a GGA-PBE-relaxed structure.

The 10 most intense peaks (2θ from 10° to 90°), low angle first:
hkl, two_theta, intensity
0 0 2, 17.53, 70
1 0 1, 24.93, 100
1 1 0, 33.19, 28
0 0 4, 35.50, 38
2 0 0, 47.64, 32
1 0 5, 51.10, 39
2 1 1, 54.50, 18
2 0 4, 60.79, 19
2 2 0, 69.66, 8
2 1 5, 72.43, 18

Cell and atoms:
Unit cell a=3.818 b=3.818 c=10.120 alpha=90.00 beta=90.00 gamma=90.00
Space group I4/mmm (No. 139)
Inequivalent atoms, fractional coordinates:
Li: 0.000 0.000 0.204 x4
Li: 0.000 0.500 0.000 x4
H: 0.000 0.000 0.380 x4
F: 0.000 0.000 0.000 x2

---

Record 6
This entry pairs a crystal structure of LiPH4NO3F with its calculated X-ray diffraction stick pattern. Radiation: λ = 1.5418 Å (Cu Kα). Structure: a GGA-PBE-relaxed structure.

The 10 most intense peaks (2θ from 10° to 90°), low angle first:
hkl, two_theta, intensity
0 1 1, 18.60, 71
1 0 -2, 19.98, 86
1 0 2, 20.32, 100
0 0 4, 24.42, 58
1 1 1, 24.72, 99
0 1 3, 25.44, 76
1 1 -3, 30.04, 76
2 0 0, 32.37, 78
1 1 -4, 34.20, 39
0 2 0, 35.57, 86

Cell and atoms:
Unit cell a=5.532 b=5.047 c=14.584 alpha=90.00 beta=90.98 gamma=90.00
Space group P2_1/c (No. 14)
Inequivalent atoms, fractional coordinates:
Li: 0.185 0.063 0.246 x4
P: 0.298 0.568 0.144 x4
H: 0.064 0.505 0.402 x4
H: 0.250 0.570 0.494 x4
H: 0.299 0.728 0.392 x4
H: 0.349 0.103 0.902 x4
N: 0.240 0.552 0.423 x4
O: 0.131 0.067 0.711 x4
O: 0.238 0.640 0.626 x4
O: 0.432 0.017 0.341 x4
F: 0.239 0.074 0.546 x4